(1)
Computed X-ray powder pattern
Compound: Nb2Al3Tc4
Radiation: λ = 1.5418 Å (Cu Kα)
Structure: a GGA-PBE-relaxed structure
Intensities are scaled so that the largest is 100.

Main lines, in order of rising 2θ (10° ≤ 2θ ≤ 80°):
2θ 21.84, intensity 4
2θ 25.67, intensity 21
2θ 40.74, intensity 100
2θ 46.70, intensity 3
2θ 48.78, intensity 4
2θ 50.80, intensity 3
2θ 58.98, intensity 16
2θ 61.93, intensity 3
2θ 65.38, intensity 3
2θ 74.15, intensity 32

Crystal structure
Cell: 4.429 4.429 8.138 Å, 90.00 90.00 120.00°
Atoms (fractional coordinates):
Nb 0.333 0.667 0.217
Nb 0.667 0.333 0.783
Al 0.000 0.000 0.000
Al 0.333 0.667 0.566
Al 0.667 0.333 0.434
Tc 0.000 0.000 0.348
Tc 0.000 0.000 0.652
Tc 0.333 0.667 0.890
Tc 0.667 0.333 0.110

---

(2)
Computed X-ray powder pattern
Compound: AcTb3Sm8
Radiation: λ = 1.5418 Å (Cu Kα)
Structure: a GGA-PBE-relaxed structure
Intensities are scaled so that the largest is 100.

Main lines, in order of rising 2θ (10° ≤ 2θ ≤ 80°):
2θ 27.94, intensity 24
2θ 30.55, intensity 25
2θ 31.92, intensity 100
2θ 41.87, intensity 16
2θ 49.43, intensity 20
2θ 55.17, intensity 21
2θ 59.21, intensity 19
2θ 59.32, intensity 4
2θ 60.05, intensity 14
2θ 77.15, intensity 5

Crystal structure
Cell: 6.386 8.652 8.668 Å, 85.05 68.40 68.47°
Atoms (fractional coordinates):
Ac 0.000 0.000 0.000
Tb 0.663 0.254 0.749
Tb 0.663 0.749 0.254
Tb 0.997 0.500 0.500
Sm 0.328 0.169 0.170
Sm 0.333 0.580 0.088
Sm 0.334 0.087 0.580
Sm 0.338 0.663 0.663
Sm 0.664 0.337 0.337
Sm 0.667 0.830 0.831
Sm 0.998 0.423 0.916
Sm 0.999 0.915 0.423

---

(3)
Computed X-ray powder pattern
Compound: La2ErCd6
Radiation: λ = 1.5418 Å (Cu Kα)
Structure: a GGA-PBE-relaxed structure
Intensities are scaled so that the largest is 100.

Main lines, in order of rising 2θ (10° ≤ 2θ ≤ 80°):
2θ 25.71, intensity 3
2θ 32.86, intensity 100
2θ 35.21, intensity 86
2θ 44.11, intensity 4
2θ 48.93, intensity 32
2θ 52.85, intensity 9
2θ 61.70, intensity 31
2θ 63.19, intensity 15
2θ 65.10, intensity 27
2θ 74.45, intensity 9

Crystal structure
Cell: 8.829 8.829 3.465 Å, 90.00 90.00 120.00°
Atoms (fractional coordinates):
La 0.333 0.667 0.000
La 0.667 0.333 0.000
Er 0.000 0.000 0.000
Cd 0.000 0.328 0.500
Cd 0.000 0.672 0.500
Cd 0.328 0.000 0.500
Cd 0.328 0.328 0.500
Cd 0.672 0.000 0.500
Cd 0.672 0.672 0.500

---

(4)
Computed X-ray powder pattern
Compound: SmCd10Pd2
Radiation: λ = 1.5418 Å (Cu Kα)
Structure: a GGA-PBE-relaxed structure
Intensities are scaled so that the largest is 100.

Main lines, in order of rising 2θ (10° ≤ 2θ ≤ 80°):
2θ 31.21, intensity 47
2θ 31.63, intensity 16
2θ 36.00, intensity 100
2θ 36.34, intensity 56
2θ 36.52, intensity 66
2θ 40.23, intensity 19
2θ 40.69, intensity 25
2θ 40.79, intensity 37
2θ 41.02, intensity 27
2θ 65.10, intensity 28

Crystal structure
Cell: 9.972 7.642 7.553 Å, 82.03 49.37 48.60°
Atoms (fractional coordinates):
Sm 0.000 0.000 0.000
Cd 0.000 0.500 0.000
Cd 0.017 0.656 0.344
Cd 0.288 0.508 0.492
Cd 0.344 0.983 0.017
Cd 0.492 0.712 0.288
Cd 0.500 0.000 0.500
Cd 0.508 0.288 0.712
Cd 0.656 0.017 0.983
Cd 0.712 0.492 0.508
Cd 0.983 0.344 0.656
Pd 0.000 0.000 0.500
Pd 0.500 0.500 0.000

---

(5)
Computed X-ray powder pattern
Compound: NdSm4Y4
Radiation: λ = 1.5418 Å (Cu Kα)
Structure: a GGA-PBE-relaxed structure
Intensities are scaled so that the largest is 100.

Main lines, in order of rising 2θ (10° ≤ 2θ ≤ 80°):
2θ 16.37, intensity 2
2θ 19.26, intensity 3
2θ 30.35, intensity 100
2θ 35.19, intensity 50
2θ 50.61, intensity 36
2θ 60.12, intensity 28
2θ 60.24, intensity 14
2θ 63.14, intensity 12
2θ 74.32, intensity 4
2θ 74.52, intensity 2

Crystal structure
Cell: 8.070 8.070 8.070 Å, 95.71 95.71 143.21°
Atoms (fractional coordinates):
Nd 0.000 0.000 0.000
Sm 0.000 0.333 0.333
Sm 0.000 0.667 0.667
Sm 0.333 0.000 0.333
Sm 0.667 0.000 0.667
Y 0.333 0.333 0.666
Y 0.333 0.667 0.000
Y 0.667 0.333 0.000
Y 0.667 0.667 0.334

---

(6)
Computed X-ray powder pattern
Compound: NaTl2Br6
Radiation: λ = 1.5418 Å (Cu Kα)
Structure: a GGA-PBE-relaxed structure
Intensities are scaled so that the largest is 100.

Main lines, in order of rising 2θ (10° ≤ 2θ ≤ 80°):
2θ 12.84, intensity 77
2θ 17.65, intensity 100
2θ 19.36, intensity 56
2θ 20.51, intensity 36
2θ 21.33, intensity 64
2θ 22.26, intensity 33
2θ 26.53, intensity 32
2θ 35.14, intensity 31
2θ 42.31, intensity 35
2θ 48.26, intensity 31

Crystal structure
Cell: 9.816 9.816 8.559 Å, 105.69 105.69 82.40°
Atoms (fractional coordinates):
Na 0.084 0.916 0.750
Na 0.916 0.084 0.250
Tl 0.185 0.399 0.757
Tl 0.399 0.185 0.257
Tl 0.601 0.815 0.743
Tl 0.815 0.601 0.243
Br 0.001 0.194 0.634
Br 0.033 0.647 0.818
Br 0.194 0.001 0.134
Br 0.353 0.967 0.682
Br 0.363 0.380 0.549
Br 0.380 0.363 0.049
Br 0.620 0.637 0.951
Br 0.637 0.620 0.451
Br 0.647 0.033 0.318
Br 0.806 0.999 0.866
Br 0.967 0.353 0.182
Br 0.999 0.806 0.366